# 1
Co5Ni2Sn: computed X-ray diffraction stick pattern (Cu Ka), based on a crystal structure in OQMD, relaxed with GGA-PBE.
Peak positions follow from Bragg's law for the DFT cell and can differ from measured ones.

Cell and atoms:
a = 4.126 Å, b = 5.171 Å, c = 5.171 Å
α = 59.38°, β = 90.00°, γ = 90.00°
Fractional coordinates of all 8 atoms:
1 Co 0.000 0.000 0.000
2 Co 0.000 0.500 0.976
3 Co 0.000 0.976 0.500
4 Co 0.500 0.331 0.842
5 Co 0.500 0.842 0.331
6 Ni 0.000 0.506 0.506
7 Ni 0.500 0.836 0.836
8 Sn 0.500 0.338 0.338

The 10 most intense peaks (2θ = 15–90°), low angle first:
2θ = 40.1°, I = 9.7; 2θ = 40.5°, I = 31.9; 2θ = 43.9°, I = 42.0; 2θ = 46.0°, I = 59.7; 2θ = 46.4°, I = 100.0; 2θ = 61.3°, I = 17.8; 2θ = 73.2°, I = 15.8; 2θ = 82.2°, I = 10.1; 2θ = 82.4°, I = 17.1; 2θ = 89.5°, I = 18.9


# 2
Ta4CoNi: computed X-ray diffraction stick pattern (Cu Ka), based on a crystal structure in OQMD, relaxed with GGA-PBE.
Peak positions follow from Bragg's law for the DFT cell and can differ from measured ones.

Cell and atoms:
a = 5.000 Å, b = 5.000 Å, c = 5.000 Å
α = 103.97°, β = 103.97°, γ = 121.15°
Fractional coordinates of all 6 atoms:
1 Ta 0.090 0.590 0.180
2 Ta 0.410 0.910 0.820
3 Ta 0.590 0.410 0.500
4 Ta 0.910 0.090 0.500
5 Co 0.000 0.000 0.000
6 Ni 0.500 0.500 0.000

The 10 most intense peaks (2θ = 15–90°), low angle first:
2θ = 36.6°, I = 15.4; 2θ = 37.4°, I = 100.0; 2θ = 42.2°, I = 13.2; 2θ = 46.6°, I = 23.1; 2θ = 47.3°, I = 15.8; 2θ = 65.3°, I = 14.3; 2θ = 66.4°, I = 19.0; 2θ = 72.4°, I = 8.2; 2θ = 76.2°, I = 14.5; 2θ = 87.6°, I = 11.9


# 3
Co2NiTe4: computed X-ray diffraction stick pattern (Cu Ka), based on a crystal structure in OQMD, relaxed with GGA-PBE.
Peak positions follow from Bragg's law for the DFT cell and can differ from measured ones.

Cell and atoms:
a = 7.467 Å, b = 7.467 Å, c = 10.554 Å
α = 90.00°, β = 90.00°, γ = 90.00°
Fractional coordinates of all 28 atoms:
1 Co 0.000 0.249 0.000
2 Co 0.000 0.751 0.500
3 Co 0.249 0.000 0.750
4 Co 0.252 0.252 0.375
5 Co 0.252 0.748 0.125
6 Co 0.748 0.252 0.625
7 Co 0.748 0.748 0.875
8 Co 0.751 0.000 0.250
9 Ni 0.249 0.500 0.750
10 Ni 0.500 0.249 0.000
11 Ni 0.500 0.751 0.500
12 Ni 0.751 0.500 0.250
13 Te 0.012 0.246 0.758
14 Te 0.012 0.754 0.742
15 Te 0.246 0.012 0.992
16 Te 0.246 0.484 0.994
17 Te 0.246 0.516 0.506
18 Te 0.246 0.988 0.508
19 Te 0.484 0.246 0.756
20 Te 0.484 0.754 0.744
21 Te 0.516 0.246 0.244
22 Te 0.516 0.754 0.256
23 Te 0.754 0.012 0.008
24 Te 0.754 0.484 0.006
25 Te 0.754 0.516 0.494
26 Te 0.754 0.988 0.492
27 Te 0.988 0.246 0.242
28 Te 0.988 0.754 0.258

The 10 most intense peaks (2θ = 15–90°), low angle first:
2θ = 28.0°, I = 20.2; 2θ = 29.3°, I = 81.3; 2θ = 34.0°, I = 96.6; 2θ = 44.6°, I = 19.2; 2θ = 48.8°, I = 100.0; 2θ = 57.9°, I = 33.1; 2θ = 60.8°, I = 22.1; 2θ = 71.5°, I = 14.6; 2θ = 79.1°, I = 12.4; 2θ = 81.5°, I = 26.6


# 4
ZrTlCoNi: computed X-ray diffraction stick pattern (Cu Ka), based on a crystal structure in OQMD, relaxed with GGA-PBE.
Peak positions follow from Bragg's law for the DFT cell and can differ from measured ones.

Cell and atoms:
a = 4.480 Å, b = 4.480 Å, c = 4.480 Å
α = 60.00°, β = 60.00°, γ = 60.00°
Fractional coordinates of all 4 atoms:
1 Zr 0.000 0.000 0.000
2 Tl 0.500 0.500 0.500
3 Co 0.750 0.750 0.750
4 Ni 0.250 0.250 0.250

The 10 most intense peaks (2θ = 15–90°), low angle first:
2θ = 24.3°, I = 15.2; 2θ = 28.2°, I = 19.7; 2θ = 40.3°, I = 100.0; 2θ = 47.6°, I = 8.3; 2θ = 49.9°, I = 5.8; 2θ = 58.3°, I = 16.6; 2θ = 64.1°, I = 3.6; 2θ = 65.9°, I = 8.0; 2θ = 73.2°, I = 33.0; 2θ = 87.0°, I = 10.6


# 5
CoNiW6: computed X-ray diffraction stick pattern (Cu Ka), based on a crystal structure in OQMD, relaxed with GGA-PBE.
Peak positions follow from Bragg's law for the DFT cell and can differ from measured ones.

Cell and atoms:
a = 5.541 Å, b = 5.541 Å, c = 4.477 Å
α = 90.00°, β = 90.00°, γ = 120.00°
Fractional coordinates of all 8 atoms:
1 Co 0.000 0.000 0.000
2 Ni 0.333 0.667 0.500
3 W 0.000 0.500 0.000
4 W 0.334 0.167 0.500
5 W 0.500 0.000 0.000
6 W 0.500 0.500 0.000
7 W 0.833 0.167 0.500
8 W 0.833 0.666 0.500

The 10 most intense peaks (2θ = 15–90°), low angle first:
2θ = 27.2°, I = 12.0; 2θ = 32.3°, I = 5.3; 2θ = 37.5°, I = 24.0; 2θ = 40.3°, I = 26.3; 2θ = 42.8°, I = 100.0; 2θ = 56.2°, I = 15.0; 2θ = 67.6°, I = 17.1; 2θ = 74.9°, I = 19.2; 2θ = 81.8°, I = 20.4; 2θ = 83.4°, I = 14.6


# 6
Y3Co8Ni: computed X-ray diffraction stick pattern (Cu Ka), based on a crystal structure in OQMD, relaxed with GGA-PBE.
Peak positions follow from Bragg's law for the DFT cell and can differ from measured ones.

Cell and atoms:
a = 8.660 Å, b = 8.660 Å, c = 8.660 Å
α = 33.12°, β = 33.12°, γ = 33.12°
Fractional coordinates of all 12 atoms:
1 Y 0.000 0.000 0.000
2 Y 0.139 0.139 0.139
3 Y 0.861 0.861 0.861
4 Co 0.080 0.580 0.580
5 Co 0.334 0.334 0.334
6 Co 0.420 0.420 0.920
7 Co 0.420 0.920 0.420
8 Co 0.580 0.080 0.580
9 Co 0.580 0.580 0.080
10 Co 0.666 0.666 0.666
11 Co 0.920 0.420 0.420
12 Ni 0.500 0.500 0.500

The 10 most intense peaks (2θ = 15–90°), low angle first:
2θ = 33.1°, I = 28.1; 2θ = 36.0°, I = 32.6; 2θ = 36.4°, I = 37.1; 2θ = 42.4°, I = 36.0; 2θ = 42.8°, I = 100.0; 2θ = 44.3°, I = 18.6; 2θ = 45.9°, I = 15.2; 2θ = 46.3°, I = 25.3; 2θ = 69.9°, I = 21.2; 2θ = 77.3°, I = 22.1


# 7
Zr3Co3Ni2: computed X-ray diffraction stick pattern (Cu Ka), based on a crystal structure in OQMD, relaxed with GGA-PBE.
Peak positions follow from Bragg's law for the DFT cell and can differ from measured ones.

Cell and atoms:
a = 4.280 Å, b = 5.319 Å, c = 5.319 Å
α = 104.19°, β = 90.00°, γ = 90.00°
Fractional coordinates of all 8 atoms:
1 Zr 0.000 0.000 0.000
2 Zr 0.500 0.280 0.703
3 Zr 0.500 0.703 0.280
4 Co 0.000 0.495 0.996
5 Co 0.000 0.996 0.495
6 Co 0.500 0.207 0.207
7 Ni 0.000 0.498 0.498
8 Ni 0.500 0.780 0.780

The 10 most intense peaks (2θ = 15–90°), low angle first:
2θ = 34.9°, I = 7.8; 2θ = 40.9°, I = 100.0; 2θ = 42.2°, I = 24.4; 2θ = 43.1°, I = 17.1; 2θ = 56.3°, I = 8.6; 2θ = 61.9°, I = 10.9; 2θ = 72.8°, I = 7.4; 2θ = 76.3°, I = 14.3; 2θ = 77.5°, I = 7.1; 2θ = 88.5°, I = 6.4


# 8
Np2Co17: computed X-ray diffraction stick pattern (Cu Ka), based on a crystal structure in OQMD, relaxed with GGA-PBE.
Peak positions follow from Bragg's law for the DFT cell and can differ from measured ones.

Cell and atoms:
a = 8.178 Å, b = 8.178 Å, c = 8.022 Å
α = 90.00°, β = 90.00°, γ = 120.00°
Fractional coordinates of all 38 atoms:
1 Np 0.000 0.000 0.250
2 Np 0.000 0.000 0.750
3 Np 0.333 0.667 0.250
4 Np 0.667 0.333 0.750
5 Co 0.000 0.500 0.000
6 Co 0.000 0.500 0.500
7 Co 0.043 0.369 0.750
8 Co 0.043 0.674 0.750
9 Co 0.166 0.332 0.025
10 Co 0.166 0.332 0.475
11 Co 0.166 0.834 0.025
12 Co 0.166 0.834 0.475
13 Co 0.326 0.369 0.750
14 Co 0.326 0.957 0.750
15 Co 0.332 0.166 0.525
16 Co 0.332 0.166 0.975
17 Co 0.333 0.667 0.603
18 Co 0.333 0.667 0.897
19 Co 0.369 0.043 0.250
20 Co 0.369 0.326 0.250
21 Co 0.500 0.000 0.000
22 Co 0.500 0.000 0.500
23 Co 0.500 0.500 0.000
24 Co 0.500 0.500 0.500
25 Co 0.631 0.674 0.750
26 Co 0.631 0.957 0.750
27 Co 0.667 0.333 0.103
28 Co 0.667 0.333 0.397
29 Co 0.668 0.834 0.025
30 Co 0.668 0.834 0.475
31 Co 0.674 0.043 0.250
32 Co 0.674 0.631 0.250
33 Co 0.834 0.166 0.525
34 Co 0.834 0.166 0.975
35 Co 0.834 0.668 0.525
36 Co 0.834 0.668 0.975
37 Co 0.957 0.326 0.250
38 Co 0.957 0.631 0.250

The 10 most intense peaks (2θ = 15–90°), low angle first:
2θ = 21.7°, I = 18.2; 2θ = 31.2°, I = 59.6; 2θ = 38.1°, I = 46.6; 2θ = 42.4°, I = 39.3; 2θ = 44.3°, I = 59.4; 2θ = 44.5°, I = 100.0; 2θ = 45.2°, I = 27.9; 2θ = 64.6°, I = 21.1; 2θ = 65.2°, I = 18.1; 2θ = 83.0°, I = 18.3